This entry pairs a crystal structure of Sm5Ge6 with its computed X-ray powder pattern. Radiation: Cu Kα. Structure: DFT lattice parameters and positions (PBE).

Largest 12 diffraction maxima, low angle first, 5 to 70 degrees two-theta:
2theta  Rel. int.
26.69  20.1
30.25  28.0
31.42  100.0
31.70  38.3
36.98  21.7
40.30  18.4
40.95  27.1
41.21  27.5
44.74  21.7
55.87  15.4
59.02  14.7
62.45  16.0

Cell and atoms:
Lattice parameters (Å, degrees): 14.9033 14.9033 4.3814 90.00 90.00 164.38
Sites, in units of the cell vectors:
Sm: 0.0000 0.0000 0.0000
Sm: 0.1988 0.8012 0.5000
Sm: 0.3862 0.6138 0.0000
Sm: 0.6138 0.3862 0.0000
Sm: 0.8012 0.1988 0.5000
Ge: 0.0986 0.9014 0.5000
Ge: 0.2807 0.7193 0.0000
Ge: 0.4582 0.5418 0.5000
Ge: 0.5418 0.4582 0.5000
Ge: 0.7193 0.2807 0.0000
Ge: 0.9014 0.0986 0.5000

This entry pairs a crystal structure of Sm8Sn5Ge with its computed X-ray powder pattern. Radiation: Cu Kα. Structure: DFT lattice parameters and positions (PBE).

Largest 12 diffraction maxima, low angle first, 5 to 70 degrees two-theta:
2theta  Rel. int.
29.87  48.1
30.04  100.0
35.61  66.1
35.71  28.7
42.99  10.0
45.12  13.5
47.30  17.4
49.26  23.7
49.40  13.8
60.66  25.0
62.44  10.6
63.96  14.1

Cell and atoms:
Lattice parameters (Å, degrees): 8.1618 8.1618 8.1618 109.64 109.64 109.12
Sites, in units of the cell vectors:
Sm: 0.1137 0.2361 0.7420
Sm: 0.1222 0.7304 0.7484
Sm: 0.2696 0.0180 0.3918
Sm: 0.4941 0.3717 0.2580
Sm: 0.6263 0.8778 0.6082
Sm: 0.6283 0.8863 0.1225
Sm: 0.7639 0.5059 0.8775
Sm: 0.9820 0.3737 0.2516
Sn: 0.0000 0.0000 0.0000
Sn: 0.2509 0.6232 0.1272
Sn: 0.3768 0.5041 0.6278
Sn: 0.4959 0.1237 0.8728
Sn: 0.8763 0.7491 0.3722
Ge: 0.7500 0.2500 0.5000

This entry pairs a crystal structure of Sm3SnGe3 with its computed X-ray powder pattern. Radiation: Cu Kα. Structure: DFT lattice parameters and positions (PBE).

Largest 12 diffraction maxima, low angle first, 5 to 70 degrees two-theta:
2theta  Rel. int.
11.63  31.7
20.22  32.2
25.37  36.0
27.99  34.1
30.58  100.0
31.11  98.7
34.78  77.0
35.41  75.1
44.19  75.1
47.47  65.8
53.57  22.7
54.91  24.6

Cell and atoms:
Lattice parameters (Å, degrees): 8.7824 8.7824 5.8465 90.00 90.00 120.00
Sites, in units of the cell vectors:
Sm: 0.0775 0.6855 0.2500
Sm: 0.3145 0.3920 0.2500
Sm: 0.3920 0.0775 0.7500
Sm: 0.6080 0.9225 0.2500
Sm: 0.6855 0.6080 0.7500
Sm: 0.9225 0.3145 0.7500
Sn: 0.3333 0.6667 0.7500
Sn: 0.6667 0.3333 0.2500
Ge: 0.0616 0.7254 0.7500
Ge: 0.2746 0.3362 0.7500
Ge: 0.3362 0.0616 0.2500
Ge: 0.6638 0.9384 0.7500
Ge: 0.7254 0.6638 0.2500
Ge: 0.9384 0.2746 0.2500

- Number 3 is which compound?
  Sm3SnGe3